Diffraction record for Y3I7O. The powder X-ray diffraction pattern is calculated, not measured: it uses a GGA-PBE-relaxed structure and Cu Kα (λ = 1.5418 Å).
Neutral-atom scattering factors, no anomalous dispersion.

Principal peaks in the range 2θ = 15–90°, in order of rising 2θ:
| two_theta | I_rel |
| --- | --- |
| 25.2 | 30 |
| 27.1 | 100 |
| 30.0 | 70 |
| 38.0 | 39 |
| 42.8 | 28 |
| 43.2 | 44 |

Structure:
Cell: 8.375 8.375 15.620 Å, 90.00 90.00 120.00°
Element x y z (fractional)
Y 0.147 0.294 0.000
Y 0.147 0.853 0.000
Y 0.294 0.147 0.500
Y 0.706 0.853 0.000
Y 0.853 0.147 0.500
Y 0.853 0.706 0.500
I 0.000 0.500 0.109
I 0.000 0.500 0.609
I 0.171 0.343 0.376
I 0.171 0.829 0.376
I 0.333 0.667 0.888
I 0.343 0.171 0.876
I 0.500 0.000 0.109
I 0.500 0.000 0.609
I 0.500 0.500 0.109
I 0.500 0.500 0.609
I 0.657 0.829 0.376
I 0.667 0.333 0.388
I 0.829 0.171 0.876
I 0.829 0.657 0.876
O 0.000 0.000 0.036
O 0.000 0.000 0.536

Diffraction record for YIO4. The powder X-ray diffraction pattern is calculated, not measured: it uses a GGA-PBE-relaxed structure and Cu Kα (λ = 1.5418 Å).
Neutral-atom scattering factors, no anomalous dispersion.

Principal peaks in the range 2θ = 15–90°, in order of rising 2θ:
| two_theta | I_rel |
| --- | --- |
| 27.2 | 100 |
| 29.5 | 77 |
| 32.6 | 21 |
| 33.0 | 19 |
| 47.1 | 29 |
| 47.4 | 27 |

Structure:
Cell: 5.476 5.414 5.538 Å, 90.00 96.90 90.00°
Element x y z (fractional)
Y 0.000 0.000 0.000
Y 0.000 0.500 0.500
I 0.500 0.000 0.500
I 0.500 0.500 0.000
O 0.187 0.172 0.355
O 0.187 0.328 0.855
O 0.324 0.699 0.277
O 0.324 0.801 0.777
O 0.676 0.199 0.223
O 0.676 0.301 0.723
O 0.813 0.672 0.145
O 0.813 0.828 0.645

Diffraction record for ZnI2O6. The powder X-ray diffraction pattern is calculated, not measured: it uses a GGA-PBE-relaxed structure and Cu Kα (λ = 1.5418 Å).
Neutral-atom scattering factors, no anomalous dispersion.

Principal peaks in the range 2θ = 15–90°, in order of rising 2θ:
| two_theta | I_rel |
| --- | --- |
| 24.8 | 77 |
| 24.9 | 100 |
| 25.1 | 80 |
| 32.3 | 31 |
| 33.0 | 32 |
| 47.0 | 28 |

Structure:
Cell: 5.549 5.396 9.410 Å, 90.00 90.58 90.00°
Element x y z (fractional)
Zn 0.228 0.000 0.246
Zn 0.772 0.500 0.754
I 0.266 0.432 0.564
I 0.276 0.902 0.898
I 0.724 0.402 0.102
I 0.734 0.932 0.436
O 0.015 0.776 0.382
O 0.099 0.713 0.771
O 0.143 0.793 0.066
O 0.351 0.225 0.416
O 0.443 0.221 0.097
O 0.469 0.288 0.697
O 0.531 0.788 0.303
O 0.557 0.721 0.903
O 0.649 0.725 0.584
O 0.857 0.293 0.934
O 0.901 0.213 0.229
O 0.985 0.276 0.618

Diffraction record for POs2I. The powder X-ray diffraction pattern is calculated, not measured: it uses a GGA-PBE-relaxed structure and Cu Kα (λ = 1.5418 Å).
Neutral-atom scattering factors, no anomalous dispersion.

Principal peaks in the range 2θ = 15–90°, in order of rising 2θ:
| two_theta | I_rel |
| --- | --- |
| 27.9 | 100 |
| 37.8 | 20 |
| 45.7 | 41 |
| 47.3 | 15 |
| 53.0 | 17 |
| 55.8 | 18 |

Structure:
Cell: 6.963 6.963 6.963 Å, 134.10 134.10 66.94°
Element x y z (fractional)
P 0.000 0.000 0.000
P 0.750 0.250 0.500
Os 0.068 0.625 0.943
Os 0.375 0.318 0.443
Os 0.682 0.125 0.057
Os 0.875 0.932 0.557
I 0.250 0.750 0.500
I 0.500 0.500 0.000